No. 1
Calculated powder X-ray diffraction pattern of MgVS2 for Cu Ka, from a structure optimized by DFT (PBE).
Peak positions follow from Bragg's law for the DFT cell and can differ from measured ones.

Unit cell a=4.496 b=4.496 c=7.550 alpha=107.95 beta=107.95 gamma=83.61
Positions (direct):
1 Mg 0.000 0.000 0.000
2 V 0.500 0.500 0.000
3 S 0.369 0.369 0.227
4 S 0.631 0.631 0.773

Peak list (8 most intense, 15 to 90 degrees two-theta, low angle first)
| d/Å | intensity |
| --- | --- |
| 4.277 | 100 |
| 3.235 | 60 |
| 2.997 | 77 |
| 2.747 | 43 |
| 2.440 | 41 |
| 2.360 | 35 |
| 1.892 | 36 |
| 1.854 | 32 |

No. 2
Calculated powder X-ray diffraction pattern of Ac2IrRh for Cu Ka, from a structure optimized by DFT (PBE).
Peak positions follow from Bragg's law for the DFT cell and can differ from measured ones.

Unit cell a=5.259 b=5.259 c=5.259 alpha=60.00 beta=60.00 gamma=60.00
Positions (direct):
1 Ac 0.250 0.250 0.250
2 Ac 0.750 0.750 0.750
3 Ir 0.000 0.000 0.000
4 Rh 0.500 0.500 0.500

Peak list (8 most intense, 15 to 90 degrees two-theta, low angle first)
| d/Å | intensity |
| --- | --- |
| 4.294 | 3 |
| 3.719 | 5 |
| 2.629 | 100 |
| 1.859 | 18 |
| 1.663 | 2 |
| 1.518 | 38 |
| 1.315 | 12 |
| 1.176 | 17 |